# Ce9SmO20
Simulated powder diffractogram, Cu Kα (weighted mean of Kα1 and Kα2). Input: DFT lattice parameters and positions (PBE).

Principal peaks in the range 10° ≤ 2θ ≤ 90°, in order of rising 2θ:
2θ (°), I_rel
28.2, 100
32.7, 29
47.0, 55
55.7, 45
58.4, 2
58.4, 6
68.6, 8
75.8, 18
78.1, 12
87.3, 17

Crystal structure
```
Ce9SmO20
1.0
6.7023 0.0000 0.0000
-2.2320 7.4080 0.0000
-1.1186 -2.3579 8.2486
Ce Sm O
9 1 20
direct
0.0000 0.0000 0.0000
0.2003 0.4001 0.3991
0.1998 0.8995 0.3992
0.3980 0.7993 0.8002
0.3999 0.3004 0.8006
0.6001 0.6996 0.1994
0.6020 0.2007 0.1998
0.8002 0.1005 0.6008
0.7997 0.5999 0.6009
0.0000 0.5000 0.0000
0.0496 0.7298 0.8467
0.0509 0.2186 0.8461
0.1482 0.6740 0.5489
0.1500 0.1747 0.5479
0.2540 0.1256 0.2498
0.2563 0.6281 0.2549
0.3517 0.0749 0.9506
0.3564 0.5768 0.9481
0.4477 0.0232 0.6492
0.4478 0.5250 0.6485
0.5522 0.4750 0.3515
0.5523 0.9768 0.3508
0.6436 0.4232 0.0519
0.6483 0.9251 0.0494
0.7437 0.3719 0.7451
0.7460 0.8744 0.7502
0.8500 0.8253 0.4521
0.8518 0.3260 0.4511
0.9491 0.7814 0.1539
0.9504 0.2702 0.1533
```

---

# Ce2Sm2O7
Simulated powder diffractogram, Cu Kα (weighted mean of Kα1 and Kα2). Input: DFT lattice parameters and positions (PBE).

Principal peaks in the range 10° ≤ 2θ ≤ 90°, in order of rising 2θ:
2θ (°), I_rel
28.0, 100
32.4, 33
35.4, 1
46.5, 51
55.2, 45
57.9, 10
67.9, 8
75.0, 18
77.3, 13
86.3, 15

Crystal structure
```
Ce2Sm2O7
1.0
0.0000 5.5209 5.5209
5.5209 0.0000 5.5209
5.5209 5.5209 0.0000
Ce Sm O
4 4 14
direct
0.0000 0.0000 0.0000
0.0000 0.0000 0.5000
0.0000 0.5000 0.0000
0.5000 0.0000 0.0000
0.0000 0.5000 0.5000
0.5000 0.0000 0.5000
0.5000 0.5000 0.0000
0.5000 0.5000 0.5000
0.0995 0.0995 0.6505
0.0995 0.6505 0.0995
0.0995 0.6505 0.6505
0.3495 0.3495 0.9005
0.3495 0.9005 0.3495
0.3495 0.9005 0.9005
0.3750 0.3750 0.3750
0.6250 0.6250 0.6250
0.6505 0.0995 0.0995
0.6505 0.0995 0.6505
0.6505 0.6505 0.0995
0.9005 0.3495 0.3495
0.9005 0.3495 0.9005
0.9005 0.9005 0.3495
```